1.
Diffraction record for CaSiO3. The powder diffractogram is simulated, not measured: it uses a cell relaxed with PBE and Cu Kα (weighted mean of Kα1 and Kα2).

Main lines, by angle (10 to 90 degrees two-theta):
index, d [Å], I/Imax
0 0 4, 3.881, 16
2 0 0, 3.558, 22
2 0 -2, 3.364, 27
2 0 2, 3.118, 20
0 2 3, 3.008, 100
2 2 1, 2.500, 18
1 2 5, 2.204, 19
0 4 0, 1.848, 21

```
CaSiO3
1.0
7.150 0.000 0.000
0.000 7.391 0.000
-1.564 0.000 15.525
Ca Si O
12 12 36
direct
0.030 0.124 0.252
0.030 0.376 0.752
0.260 0.626 0.599
0.260 0.874 0.099
0.263 0.121 0.603
0.263 0.379 0.103
0.737 0.621 0.897
0.737 0.879 0.397
0.740 0.126 0.901
0.740 0.374 0.401
0.970 0.624 0.248
0.970 0.876 0.748
0.230 0.159 0.908
0.230 0.341 0.408
0.230 0.592 0.908
0.230 0.908 0.408
0.442 0.623 0.303
0.442 0.877 0.803
0.558 0.123 0.197
0.558 0.377 0.697
0.770 0.092 0.592
0.770 0.408 0.092
0.770 0.659 0.592
0.770 0.841 0.092
0.034 0.640 0.850
0.034 0.860 0.350
0.035 0.113 0.848
0.035 0.387 0.348
0.231 0.124 0.009
0.231 0.376 0.509
0.238 0.627 0.010
0.238 0.873 0.510
0.271 0.124 0.389
0.271 0.376 0.889
0.298 0.623 0.216
0.298 0.877 0.716
0.331 0.125 0.200
0.331 0.375 0.700
0.406 0.697 0.865
0.406 0.803 0.365
0.407 0.056 0.865
0.407 0.444 0.365
0.593 0.556 0.635
0.593 0.944 0.135
0.594 0.197 0.635
0.594 0.303 0.135
0.669 0.625 0.300
0.669 0.875 0.800
0.702 0.123 0.284
0.702 0.377 0.784
0.729 0.624 0.111
0.729 0.876 0.611
0.762 0.127 0.490
0.762 0.373 0.990
0.769 0.624 0.491
0.769 0.876 0.991
0.965 0.613 0.652
0.965 0.887 0.152
0.966 0.140 0.650
0.966 0.360 0.150
```


2.
Diffraction record for ScV2Cu2. The powder diffractogram is simulated, not measured: it uses a cell relaxed with PBE and Cu Kα (weighted mean of Kα1 and Kα2).

Main lines, by angle (10 to 90 degrees two-theta):
index, d [Å], I/Imax
0 0 2, 5.421, 16
1 0 3, 2.631, 17
1 1 2, 2.427, 100
2 0 0, 1.918, 75
1 0 5, 1.888, 20
2 2 0, 1.357, 12
3 1 2, 1.184, 17
2 0 8, 1.107, 17

```
ScV2Cu2
1.0
3.838 0.000 0.000
0.000 3.838 0.000
0.000 0.000 10.842
Sc V Cu
2 4 4
direct
0.000 0.000 0.000
0.500 0.500 0.500
0.000 0.000 0.398
0.000 0.000 0.602
0.500 0.500 0.102
0.500 0.500 0.898
0.000 0.500 0.250
0.000 0.500 0.750
0.500 0.000 0.250
0.500 0.000 0.750
```


Question: Number 2 is which compound?
Answer: ScV2Cu2


What did the first record say?
Diffraction record for CaSiO3. The powder diffractogram is simulated, not measured: it uses a cell relaxed with PBE and Cu Kα (weighted mean of Kα1 and Kα2).

Main lines, by angle (10 to 90 degrees two-theta):
index, d [Å], I/Imax
0 0 4, 3.881, 16
2 0 0, 3.558, 22
2 0 -2, 3.364, 27
2 0 2, 3.118, 20
0 2 3, 3.008, 100
2 2 1, 2.500, 18
1 2 5, 2.204, 19
0 4 0, 1.848, 21

```
CaSiO3
1.0
7.150 0.000 0.000
0.000 7.391 0.000
-1.564 0.000 15.525
Ca Si O
12 12 36
direct
0.030 0.124 0.252
0.030 0.376 0.752
0.260 0.626 0.599
0.260 0.874 0.099
0.263 0.121 0.603
0.263 0.379 0.103
0.737 0.621 0.897
0.737 0.879 0.397
0.740 0.126 0.901
0.740 0.374 0.401
0.970 0.624 0.248
0.970 0.876 0.748
0.230 0.159 0.908
0.230 0.341 0.408
0.230 0.592 0.908
0.230 0.908 0.408
0.442 0.623 0.303
0.442 0.877 0.803
0.558 0.123 0.197
0.558 0.377 0.697
0.770 0.092 0.592
0.770 0.408 0.092
0.770 0.659 0.592
0.770 0.841 0.092
0.034 0.640 0.850
0.034 0.860 0.350
0.035 0.113 0.848
0.035 0.387 0.348
0.231 0.124 0.009
0.231 0.376 0.509
0.238 0.627 0.010
0.238 0.873 0.510
0.271 0.124 0.389
0.271 0.376 0.889
0.298 0.623 0.216
0.298 0.877 0.716
0.331 0.125 0.200
0.331 0.375 0.700
0.406 0.697 0.865
0.406 0.803 0.365
0.407 0.056 0.865
0.407 0.444 0.365
0.593 0.556 0.635
0.593 0.944 0.135
0.594 0.197 0.635
0.594 0.303 0.135
0.669 0.625 0.300
0.669 0.875 0.800
0.702 0.123 0.284
0.702 0.377 0.784
0.729 0.624 0.111
0.729 0.876 0.611
0.762 0.127 0.490
0.762 0.373 0.990
0.769 0.624 0.491
0.769 0.876 0.991
0.965 0.613 0.652
0.965 0.887 0.152
0.966 0.140 0.650
0.966 0.360 0.150
```